Record 1
Starting from a crystal structure in Alexandria, relaxed with GGA+U, the powder XRD pattern of BaMo4O8 was simulated for Cu Kα X-rays.
Intensities are scaled so that the largest is 100.

Atomic structure:
a = 5.9087 Å, b = 5.9087 Å, c = 7.5477 Å
α = 90.00°, β = 90.00°, γ = 120.00°
Space group P-31m (No. 162)
Asymmetric unit:
Ba1 0.0000 0.0000 0.0000
Mo1 0.3333 0.6667 0.2657
O1 0.0000 0.3356 0.3029
O2 0.3333 0.6667 0.0000

Peak list (8 most intense, 10 to 80 degrees two-theta, by angle)
h k l	2θ/deg	intensity
1 0 1	20.97	34
0 0 2	23.57	23
1 0 2	29.41	79
1 1 0	30.25	100
2 0 2	42.70	28
3 -1 2	53.22	29
3 0 0	53.74	30
2 -1 4	58.00	31

---

Record 2
Starting from a crystal structure in Alexandria, relaxed with GGA+U, the powder XRD pattern of K2FeOF5 was simulated for Cu Kα X-rays.
Intensities are scaled so that the largest is 100.

Atomic structure:
a = 8.3018 Å, b = 8.4853 Å, c = 8.1812 Å
α = 90.00°, β = 90.04°, γ = 90.00°
Space group C2/c (No. 15)
Asymmetric unit:
K1 0.2370 0.0003 0.0000
Fe1 0.0000 0.2672 0.2500
O1 0.0000 0.4634 0.2500
F1 0.0000 0.0403 0.2500
F2 0.0007 0.2547 0.4737
F3 0.2209 0.2538 0.2495

Peak list (8 most intense, 10 to 80 degrees two-theta, by angle)
h k l	2θ/deg	intensity
1 1 1	18.47	100
2 2 0	30.12	25
0 2 2	30.35	25
2 0 2	30.69	21
2 2 2	37.44	37
0 4 0	42.62	21
4 0 0	43.61	20
0 0 4	44.29	20